Starting from the PBE geometry in the Materials Project, the PXRD pattern of BaNaMg14 was simulated for Cu Kα X-rays.
No peak broadening, texture or thermal motion is included.

The 8 most intense peaks (2θ from 10° to 90°), sorted by position:
2θ 15.52, I = 21
2θ 17.58, I = 32
2θ 22.71, I = 19
2θ 31.33, I = 28
2θ 33.31, I = 39
2θ 34.96, I = 54
2θ 35.60, I = 100
2θ 65.72, I = 20

Crystal structure
```
16
Lattice="10.760 0.000 0.000 0.000 3.273 5.841 0.000 -3.273 5.841" Properties=species:S:1:pos:R:3 pbc="T T T"
Ba 0.000 0.000 0.000
Na 0.000 0.000 5.817
Mg 0.000 -1.606 2.931
Mg 0.000 1.606 2.931
Mg 2.701 0.000 7.788
Mg 2.822 0.000 1.987
Mg 2.877 -1.607 4.807
Mg 2.877 1.607 4.807
Mg 5.380 0.000 0.001
Mg 5.380 -1.631 8.743
Mg 5.380 0.000 5.848
Mg 5.380 1.631 8.743
Mg 7.883 -1.607 4.807
Mg 7.883 1.607 4.807
Mg 7.938 0.000 1.987
Mg 8.059 0.000 7.788
```

***

Starting from the PBE geometry in the Materials Project, the PXRD pattern of Ba2NaMgReO6 was simulated for Cu Kα X-rays.
No peak broadening, texture or thermal motion is included.

The 8 most intense peaks (2θ from 10° to 90°), sorted by position:
2θ 17.40, I = 100
2θ 27.66, I = 88
2θ 30.34, I = 99
2θ 30.43, I = 35
2θ 35.24, I = 31
2θ 43.51, I = 87
2θ 52.37, I = 31
2θ 63.22, I = 23

Crystal structure
```
11
Lattice="-2.937 2.941 5.114 2.937 -2.941 5.114 2.937 2.941 -5.114" Properties=species:S:1:pos:R:3 pbc="T T T"
Ba 0.000 0.000 1.853
Ba 0.000 0.000 8.374
Na 2.937 0.000 0.000
Mg 0.000 0.000 5.114
Re 0.000 2.941 0.000
O 1.459 1.571 0.000
O 1.478 -1.370 5.114
O 2.937 0.000 3.139
O 0.000 2.941 1.975
O 1.459 4.311 0.000
O 1.478 1.370 5.114
```

***

Starting from the PBE geometry in the Materials Project, the PXRD pattern of BaMg6Nb was simulated for Cu Kα X-rays.
No peak broadening, texture or thermal motion is included.

The 8 most intense peaks (2θ from 10° to 90°), sorted by position:
2θ 15.27, I = 69
2θ 22.82, I = 70
2θ 31.06, I = 19
2θ 31.75, I = 32
2θ 33.97, I = 35
2θ 35.29, I = 100
2θ 35.51, I = 34
2θ 61.66, I = 19

Crystal structure
```
16
Lattice="5.277 0.000 0.000 0.000 6.720 0.000 0.000 0.000 11.519" Properties=species:S:1:pos:R:3 pbc="T T T"
Ba 0.000 0.000 0.000
Ba 0.000 3.360 5.759
Mg 0.000 0.000 5.639
Mg 0.000 1.507 8.616
Mg 0.000 1.853 2.857
Mg 0.000 3.360 11.399
Mg 0.000 4.867 2.857
Mg 0.000 5.212 8.616
Mg 2.639 0.000 3.693
Mg 2.639 1.528 6.700
Mg 2.639 1.832 0.941
Mg 2.639 3.360 9.452
Mg 2.639 4.888 0.941
Mg 2.639 5.192 6.700
Nb 2.639 0.000 9.298
Nb 2.639 3.360 3.539
```

***

Starting from the PBE geometry in the Materials Project, the PXRD pattern of BaMg14Nb was simulated for Cu Kα X-rays.
No peak broadening, texture or thermal motion is included.

The 8 most intense peaks (2θ from 10° to 90°), sorted by position:
2θ 15.61, I = 23
2θ 17.78, I = 34
2θ 23.14, I = 21
2θ 31.80, I = 30
2θ 34.31, I = 37
2θ 36.00, I = 51
2θ 36.25, I = 100
2θ 62.73, I = 21

Crystal structure
```
16
Lattice="10.455 0.000 0.000 0.000 3.240 5.678 0.000 -3.240 5.678" Properties=species:S:1:pos:R:3 pbc="T T T"
Ba 0.000 0.000 0.000
Mg 0.000 -1.606 2.819
Mg 0.000 1.606 2.819
Mg 2.515 0.000 7.446
Mg 2.698 -1.531 4.665
Mg 2.698 1.531 4.665
Mg 2.789 0.000 1.905
Mg 5.227 0.000 5.635
Mg 5.227 -1.596 8.469
Mg 5.227 1.596 8.469
Mg 5.227 0.000 11.287
Mg 7.666 0.000 1.905
Mg 7.757 -1.531 4.665
Mg 7.757 1.531 4.665
Mg 7.940 0.000 7.446
Nb 0.000 0.000 5.500
```

***

Starting from the PBE geometry in the Materials Project, the PXRD pattern of BaMg14Nb was simulated for Cu Kα X-rays.
No peak broadening, texture or thermal motion is included.

The 8 most intense peaks (2θ from 10° to 90°), sorted by position:
2θ 15.52, I = 45
2θ 23.28, I = 37
2θ 31.33, I = 30
2θ 34.90, I = 22
2θ 35.98, I = 100
2θ 47.60, I = 18
2θ 55.78, I = 18
2θ 67.50, I = 18

Crystal structure
```
16
Lattice="6.593 0.000 0.000 -3.296 5.709 0.000 0.000 0.000 10.284" Properties=species:S:1:pos:R:3 pbc="T T T"
Ba 0.000 0.000 0.000
Mg -1.585 2.891 0.000
Mg 0.000 1.920 2.765
Mg 0.000 1.920 7.519
Mg -1.634 4.750 2.765
Mg -1.634 4.750 7.519
Mg 1.585 2.891 0.000
Mg 0.000 5.636 0.000
Mg 3.296 0.020 5.142
Mg 1.666 2.845 5.142
Mg 1.634 4.750 2.765
Mg 1.634 4.750 7.519
Mg 3.296 1.903 2.511
Mg 3.296 1.903 7.773
Mg 4.927 2.845 5.142
Nb 0.000 0.000 5.142
```

***

Starting from the PBE geometry in the Materials Project, the PXRD pattern of BaMg6Nb was simulated for Cu Kα X-rays.
No peak broadening, texture or thermal motion is included.

The 8 most intense peaks (2θ from 10° to 90°), sorted by position:
2θ 18.56, I = 49
2θ 19.71, I = 20
2θ 26.37, I = 22
2θ 27.20, I = 35
2θ 33.14, I = 100
2θ 37.64, I = 33
2θ 56.11, I = 20
2θ 65.09, I = 25

Crystal structure
```
8
Lattice="6.760 0.000 0.000 0.000 6.760 0.000 0.000 0.000 4.504" Properties=species:S:1:pos:R:3 pbc="T T T"
Ba 0.000 0.000 0.000
Mg 0.000 3.380 0.000
Mg 1.924 1.924 2.252
Mg 1.924 4.836 2.252
Mg 3.380 0.000 0.000
Mg 4.836 1.924 2.252
Mg 4.836 4.836 2.252
Nb 3.380 3.380 0.000
```